Calculated powder XRD pattern
Compound: Nd2Ho3Tm3
Radiation: copper Kα
Structure: the PBE geometry in Alexandria

The 8 most intense peaks (2θ from 5° to 70°), most intense first:
(hkl)  two_theta  I_rel
2 1 1  31.4  100
1 2 2  34.5  69
4 1 0  53.9  39
2 0 2  28.0  30
1 2 5  51.8  25
3 3 3  67.4  23
4 0 4  57.9  17
4 2 2  65.5  11

Cell: 9.0047 9.0047 11.0363 Å, 90.00 90.00 120.00°
Space group R32 (No. 155, hexagonal axes)
Asymmetric unit:
Nd  0.0000  0.0000  0.2493
Ho  0.0000  0.7485  0.5000
Tm  0.0000  0.2481  0.0000

***

Calculated powder XRD pattern
Compound: Nd5Ho2Tm
Radiation: copper Kα
Structure: the PBE geometry in Alexandria

The 5 most intense peaks (2θ from 5° to 70°), most intense first:
(hkl)  two_theta  I_rel
2 0 1  30.3  100
2 4 0  35.1  51
2 0 3  60.0  43
4 0 0  50.5  36
4 0 2  63.0  12

Cell: 7.228 14.468 5.117 Å, 90.00 90.00 90.00°
Space group Pbam (No. 55)
Asymmetric unit:
Nd  0.000  0.000  0.000
Nd  0.002  0.252  0.000
Nd  0.247  0.624  0.500
Ho  0.249  0.876  0.500
Tm  0.000  0.500  0.000

***

Calculated powder XRD pattern
Compound: NdHo8Tm5
Radiation: copper Kα
Structure: the PBE geometry in Alexandria

The 8 most intense peaks (2θ from 5° to 70°), most intense first:
(hkl)  two_theta  I_rel
2 1 3  34.0  100
1 3 0  30.0  69
3 0 1  29.8  65
1 0 3  28.0  52
3 2 1  35.5  50
1 3 2  34.9  41
2 2 2  32.2  23
1 3 6  63.3  20

Cell: 9.416 9.416 10.143 Å, 90.00 90.00 90.00°
Space group I-4 (No. 82)
Asymmetric unit:
Nd  0.000  0.000  0.000
Ho  0.071  0.176  0.648
Ho  0.089  0.329  0.998
Tm  0.000  0.500  0.750
Tm  0.114  0.292  0.323

***

Calculated powder XRD pattern
Compound: Nd4Ho3Tm3
Radiation: copper Kα
Structure: the PBE geometry in Alexandria

The 8 most intense peaks (2θ from 5° to 70°), most intense first:
(hkl)  two_theta  I_rel
1 3 1  32.0  100
0 2 4  30.5  87
2 2 4  57.8  20
1 3 7  58.9  19
0 0 8  56.1  19
1 5 3  47.0  14
0 4 4  38.8  12
2 0 0  47.9  12

Cell: 3.801 13.111 13.097 Å, 90.00 90.00 90.00°
Space group Amm2 (No. 38)
Asymmetric unit:
Nd  0.000  0.000  0.000
Nd  0.000  0.000  0.263
Nd  0.000  0.132  0.631
Ho  0.000  0.249  0.381
Ho  0.500  0.000  0.799
Tm  0.500  0.000  0.463
Tm  0.500  0.168  0.131

***

Calculated powder XRD pattern
Compound: Nd4HoTm2
Radiation: copper Kα
Structure: the PBE geometry in Alexandria

The 8 most intense peaks (2θ from 5° to 70°), most intense first:
(hkl)  two_theta  I_rel
1 7 1  30.2  100
2 0 2  31.5  63
3 5 1  32.2  33
4 2 0  30.8  31
3 7 1  37.1  27
2 2 2  32.4  24
1 7 3  50.5  20
0 2 2  28.6  16

Cell: 11.962 24.251 6.451 Å, 90.00 90.00 90.00°
Space group Fdd2 (No. 43)
Asymmetric unit:
Nd  0.052  0.429  0.000
Nd  0.070  0.356  0.470
Ho  0.000  0.000  0.005
Tm  0.025  0.284  0.944

***

Calculated powder XRD pattern
Compound: Nd8HoTm3
Radiation: copper Kα
Structure: the PBE geometry in Alexandria

The 8 most intense peaks (2θ from 5° to 70°), most intense first:
(hkl)  two_theta  I_rel
0 4 0  29.9  100
0 2 3  31.8  86
2 2 -2  31.9  83
0 6 3  54.3  56
2 4 1  42.8  37
4 2 -1  54.5  17
2 4 -5  57.9  15
2 0 -5  48.4  13

Cell: 7.036 11.975 9.876 Å, 90.00 104.37 90.00°
Space group C2/m (No. 12)
Asymmetric unit:
Nd  0.068  0.248  0.334
Nd  0.181  0.500  0.168
Nd  0.182  0.000  0.164
Ho  0.000  0.500  0.500
Tm  0.000  0.000  0.500
Tm  0.250  0.250  0.000

***

Calculated powder XRD pattern
Compound: Nd2Ho7Tm4
Radiation: copper Kα
Structure: the PBE geometry in Alexandria

The 8 most intense peaks (2θ from 5° to 70°), most intense first:
(hkl)  two_theta  I_rel
2 -1 2  32.6  100
1 1 1  30.4  48
1 1 3  36.0  31
3 0 0  52.5  30
0 0 4  26.9  20
2 -1 6  51.2  19
2 2 2  63.2  14
1 1 0  29.6  14

Cell: 6.0341 6.0341 13.2583 Å, 90.00 90.00 120.00°
Space group P-31m (No. 162)
Asymmetric unit:
Nd  0.3333  0.6667  0.0000
Ho  0.0000  0.0000  0.0000
Ho  0.0000  0.3527  0.2180
Tm  0.0000  0.0000  0.3955
Tm  0.3333  0.6667  0.5000

***

Calculated powder XRD pattern
Compound: Nd4Ho5Tm3
Radiation: copper Kα
Structure: the PBE geometry in Alexandria

The 8 most intense peaks (2θ from 5° to 70°), most intense first:
(hkl)  two_theta  I_rel
0 2 0  30.3  100
5 1 -2  32.5  75
1 1 -3  33.5  67
5 1 -1  31.9  53
4 0 1  31.3  43
4 2 1  44.1  35
3 1 -3  32.7  29
3 1 1  29.5  27

Cell: 16.084 5.907 9.370 Å, 90.00 116.89 90.00°
Space group C2/m (No. 12)
Asymmetric unit:
Nd  0.085  0.000  0.447
Nd  0.217  0.000  0.882
Ho  0.000  0.000  0.000
Ho  0.070  0.500  0.704
Ho  0.171  0.500  0.382
Tm  0.000  0.500  0.000
Tm  0.213  0.000  0.238

***

Calculated powder XRD pattern
Compound: NdHo2Tm5
Radiation: copper Kα
Structure: the PBE geometry in Alexandria

The 8 most intense peaks (2θ from 5° to 70°), most intense first:
(hkl)  two_theta  I_rel
1 2 -3  32.4  100
0 0 3  30.6  52
1 -3 0  30.8  39
1 2 0  31.3  35
-2 1 2  31.4  30
2 -2 0  30.4  25
-1 3 1  35.0  21
2 1 -2  33.8  21

Cell: 6.412 9.229 9.838 Å, 108.49 102.91 105.99°
Space group P-1 (No. 2)
Asymmetric unit:
Nd  0.205  0.431  0.463
Ho  0.254  0.933  0.804
Ho  0.407  0.295  0.165
Tm  0.003  0.838  0.403
Tm  0.043  0.514  0.839
Tm  0.131  0.884  0.109
Tm  0.485  0.170  0.477
Tm  0.498  0.667  0.155

***

Calculated powder XRD pattern
Compound: NdHo2Tm
Radiation: copper Kα
Structure: the PBE geometry in Alexandria

The 8 most intense peaks (2θ from 5° to 70°), most intense first:
(hkl)  two_theta  I_rel
1 2 1  32.6  100
0 2 2  32.7  48
0 4 0  31.6  36
1 6 1  56.9  30
1 0 1  28.4  23
1 4 3  60.8  22
1 0 3  50.5  19
2 2 2  61.2  16

Cell: 3.635 11.335 6.249 Å, 90.00 90.00 90.00°
Space group Imm2 (No. 44)
Asymmetric unit:
Nd  0.000  0.000  0.000
Ho  0.000  0.247  0.662
Tm  0.000  0.500  0.996

***

Calculated powder XRD pattern
Compound: NdHo4Tm2
Radiation: copper Kα
Structure: the PBE geometry in Alexandria

The 8 most intense peaks (2θ from 5° to 70°), most intense first:
(hkl)  two_theta  I_rel
1 2 1  33.4  100
1 0 3  31.6  98
1 0 -4  32.2  95
2 1 0  33.1  78
0 2 2  32.0  69
1 2 -2  33.7  58
2 0 -1  29.1  55
1 2 -1  31.5  53

Cell: 6.147 6.481 11.398 Å, 90.00 104.46 90.00°
Space group P2_1/m (No. 11)
Asymmetric unit:
Nd  0.043  0.250  0.363
Ho  0.153  0.250  0.664
Ho  0.293  0.750  0.926
Ho  0.349  0.507  0.212
Tm  0.145  0.250  0.949
Tm  0.392  0.750  0.505

***

Calculated powder XRD pattern
Compound: Nd5Ho3Tm2
Radiation: copper Kα
Structure: the PBE geometry in Alexandria

The 8 most intense peaks (2θ from 5° to 70°), most intense first:
(hkl)  two_theta  I_rel
2 4 0  31.1  100
2 2 1  29.5  96
4 0 -2  33.5  46
4 6 1  60.6  34
0 6 3  48.9  32
2 4 4  62.8  26
2 0 -4  36.0  26
0 4 2  32.0  23

Cell: 10.685 14.892 9.996 Å, 90.00 122.28 90.00°
Space group C2/c (No. 15)
Asymmetric unit:
Nd  0.000  0.019  0.250
Nd  0.000  0.228  0.250
Nd  0.000  0.478  0.750
Nd  0.247  0.369  0.240
Ho  0.000  0.273  0.750
Ho  0.155  0.375  0.557
Tm  0.152  0.129  0.057